Record 1
For Sm2Dy4HoEr2, a cell relaxed with PBE gives the simulated powder XRD pattern in this record (a wavelength of 1.5418 Å).
Peak positions follow from Bragg's law for the DFT cell and can differ from measured ones.

Lattice parameters (Å, degrees): 18.598 3.583 9.523 90.00 115.74 90.00
Space group C2/m (No. 12)
One atom of each set of equivalent atoms:
Sm  0.148  0.000  0.167 [4 per cell]
Dy  0.018  0.500  0.831 [4 per cell]
Dy  0.185  0.000  0.832 [4 per cell]
Ho  0.000  0.000  0.500 [2 per cell]
Er  0.167  0.500  0.501 [4 per cell]

Top 12 peaks for 10 to 90 degrees two-theta, sorted by position:
two_theta	I/Imax	(hkl)
29.00	37	6 0 -1
31.28	49	0 0 3
32.04	100	3 1 -2
33.74	85	3 1 1
40.40	16	6 0 -4
51.01	38	0 2 0
55.03	15	3 1 -5
58.36	17	3 1 4
61.06	44	9 1 1
61.51	16	12 0 -4
62.56	14	12 0 -1
87.27	17	9 1 4

Record 2
For TbDy3HoEr, a cell relaxed with PBE gives the simulated powder XRD pattern in this record (a wavelength of 1.5418 Å).
Peak positions follow from Bragg's law for the DFT cell and can differ from measured ones.

Lattice parameters (Å, degrees): 4.988 14.976 9.973 90.00 90.00 90.00
Space group Cmcm (No. 63)
One atom of each set of equivalent atoms:
Tb  0.000  0.000  0.000 [4 per cell]
Dy  0.000  0.167  0.250 [4 per cell]
Dy  0.000  0.333  0.000 [8 per cell]
Ho  0.000  0.500  0.250 [4 per cell]
Er  0.000  0.167  0.750 [4 per cell]

Top 8 peaks for 10 to 90 degrees two-theta, sorted by position:
two_theta	I/Imax	(hkl)
31.05	100	1 3 2
36.01	51	2 0 0
51.84	36	2 6 0
61.67	43	3 3 2
64.73	12	2 6 4
76.36	6	4 0 0
84.69	18	3 9 2
87.43	17	4 6 0